Record 1
Diffraction record for FeNi15Ge4. The powder diffractogram is theoretical, not measured: it uses a DFT-relaxed cell (GGA-PBE, Alexandria) and CuKα.
No peak broadening, texture or thermal motion is included.

Structural model:
```
data_FeNi15Ge4
_chemical_formula_sum 'Fe1 Ni15 Ge4'
_cell_length_a 3.574
_cell_length_b 3.574
_cell_length_c 17.819
_cell_angle_alpha 90.00
_cell_angle_beta 90.00
_cell_angle_gamma 90.00
_space_group_name_H-M_alt 'P 4/m m m'
_space_group_IT_number 123
_space_group_name_Hall '-P 4 2'
loop_
_atom_site_label
_atom_site_type_symbol
_atom_site_fract_x
_atom_site_fract_y
_atom_site_fract_z
Fe1 Fe 0.000 0.000 0.000
Ni1 Ni 0.000 0.500 0.098
Ni2 Ni 0.000 0.500 0.299
Ni3 Ni 0.000 0.500 0.500
Ni4 Ni 0.500 0.500 0.000
Ni5 Ni 0.500 0.500 0.199
Ni6 Ni 0.500 0.500 0.400
Ge1 Ge 0.000 0.000 0.198
Ge2 Ge 0.000 0.000 0.400
```

Largest 3 diffraction maxima, in order of rising 2θ, 2θ from 5° to 70°:
| 2θ/deg | d (Å) | I (rel.) | index |
| --- | --- | --- | --- |
| 43.92 | 2.062 | 100 | 1 1 5 |
| 51.11 | 1.787 | 31 | 2 0 0 |
| 51.27 | 1.782 | 15 | 0 0 10 |

=====

Record 2
Diffraction record for Ga2SiSn. The powder diffractogram is theoretical, not measured: it uses a DFT-relaxed cell (GGA-PBE, Alexandria) and CuKα.
No peak broadening, texture or thermal motion is included.

Structural model:
```
data_Ga2SiSn
_chemical_formula_sum 'Ga8 Si4 Sn4'
_cell_length_a 6.882
_cell_length_b 6.882
_cell_length_c 6.882
_cell_angle_alpha 90.00
_cell_angle_beta 90.00
_cell_angle_gamma 90.00
_space_group_name_H-M_alt 'F m -3 m'
_space_group_IT_number 225
_space_group_name_Hall '-F 4 2 3'
loop_
_atom_site_label
_atom_site_type_symbol
_atom_site_fract_x
_atom_site_fract_y
_atom_site_fract_z
Ga1 Ga 0.250 0.250 0.250
Si1 Si 0.000 0.000 0.000
Sn1 Sn 0.000 0.000 0.500
```

Largest 6 diffraction maxima, in order of rising 2θ, 2θ from 5° to 70°:
| 2θ/deg | d (Å) | I (rel.) | index |
| --- | --- | --- | --- |
| 22.38 | 3.973 | 22 | 1 1 1 |
| 36.94 | 2.433 | 100 | 2 2 0 |
| 43.62 | 2.075 | 13 | 3 1 1 |
| 53.24 | 1.721 | 17 | 4 0 0 |
| 58.46 | 1.579 | 6 | 3 3 1 |
| 66.57 | 1.405 | 35 | 4 2 2 |

=====

Record 3
Diffraction record for Sm8CoSi2. The powder diffractogram is theoretical, not measured: it uses a DFT-relaxed cell (GGA-PBE, Alexandria) and CuKα.
No peak broadening, texture or thermal motion is included.

Structural model:
```
data_Sm8CoSi2
_chemical_formula_sum 'Sm16 Co2 Si4'
_cell_length_a 18.612
_cell_length_b 4.629
_cell_length_c 7.070
_cell_angle_alpha 90.00
_cell_angle_beta 100.42
_cell_angle_gamma 90.00
_space_group_name_H-M_alt 'C 1 2/m 1'
_space_group_IT_number 12
loop_
_space_group_symop_operation_xyz
'x,y,z'
'-x,-y,-z'
'-x,y,-z'
'x,-y,z'
'x+1/2,y+1/2,z'
'-x+1/2,-y+1/2,-z'
'-x+1/2,y+1/2,-z'
'x+1/2,-y+1/2,z'
loop_
_atom_site_label
_atom_site_type_symbol
_atom_site_fract_x
_atom_site_fract_y
_atom_site_fract_z
Sm1 Sm 0.014 0.000 0.284
Sm2 Sm 0.096 0.500 0.996
Sm3 Sm 0.151 0.500 0.504
Sm4 Sm 0.218 0.000 0.834
Co1 Co 0.000 0.500 0.500
Si1 Si 0.182 0.000 0.251
```

Largest 12 diffraction maxima, in order of rising 2θ, 2θ from 5° to 70°:
| 2θ/deg | d (Å) | I (rel.) | index |
| --- | --- | --- | --- |
| 24.13 | 3.689 | 24 | 3 1 0 |
| 28.61 | 3.120 | 38 | 3 1 1 |
| 29.31 | 3.047 | 24 | 4 0 -2 |
| 29.78 | 3.001 | 27 | 6 0 -1 |
| 31.15 | 2.871 | 58 | 5 1 0 |
| 31.85 | 2.809 | 100 | 1 1 -2 |
| 33.29 | 2.691 | 22 | 1 1 2 |
| 35.13 | 2.555 | 25 | 4 0 2 |
| 35.47 | 2.531 | 23 | 6 0 -2 |
| 38.91 | 2.314 | 44 | 0 2 0 |
| 51.68 | 1.769 | 18 | 7 1 -3 |
| 61.41 | 1.510 | 22 | 7 1 3 |

=====

Record 4
Diffraction record for In4PdAu5. The powder diffractogram is theoretical, not measured: it uses a DFT-relaxed cell (GGA-PBE, Alexandria) and CuKα.
No peak broadening, texture or thermal motion is included.

Structural model:
```
data_In4PdAu5
_chemical_formula_sum 'In8 Pd2 Au10'
_cell_length_a 4.540
_cell_length_b 8.312
_cell_length_c 11.097
_cell_angle_alpha 90.00
_cell_angle_beta 90.00
_cell_angle_gamma 90.00
_space_group_name_H-M_alt 'I m m m'
_space_group_IT_number 71
_space_group_name_Hall '-I 2 2'
loop_
_atom_site_label
_atom_site_type_symbol
_atom_site_fract_x
_atom_site_fract_y
_atom_site_fract_z
In1 In 0.000 0.000 0.248
In2 In 0.000 0.312 0.000
Pd1 Pd 0.000 0.000 0.000
Au1 Au 0.000 0.000 0.500
Au2 Au 0.000 0.326 0.356
```

Largest 12 diffraction maxima, in order of rising 2θ, 2θ from 5° to 70°:
| 2θ/deg | d (Å) | I (rel.) | index |
| --- | --- | --- | --- |
| 21.14 | 4.202 | 15 | 1 0 1 |
| 26.37 | 3.379 | 21 | 0 1 3 |
| 31.19 | 2.868 | 38 | 1 0 3 |
| 38.07 | 2.364 | 100 | 1 3 0 |
| 39.04 | 2.307 | 17 | 0 2 4 |
| 39.58 | 2.277 | 33 | 1 1 4 |
| 39.70 | 2.270 | 33 | 2 0 0 |
| 40.69 | 2.218 | 17 | 0 3 3 |
| 48.30 | 1.884 | 8 | 2 1 3 |
| 56.90 | 1.618 | 12 | 2 2 4 |
| 58.15 | 1.586 | 12 | 2 3 3 |
| 63.90 | 1.457 | 9 | 1 3 6 |

=====

Record 5
Diffraction record for BaAl3Si3. The powder diffractogram is theoretical, not measured: it uses a DFT-relaxed cell (GGA-PBE, Alexandria) and CuKα.
No peak broadening, texture or thermal motion is included.

Structural model:
```
data_BaAl3Si3
_chemical_formula_sum 'Ba2 Al6 Si6'
_cell_length_a 7.019
_cell_length_b 7.019
_cell_length_c 7.019
_cell_angle_alpha 90.00
_cell_angle_beta 90.00
_cell_angle_gamma 90.00
_space_group_name_H-M_alt 'P m -3 n'
_space_group_IT_number 223
_space_group_name_Hall '-P 4n 2 3'
loop_
_atom_site_label
_atom_site_type_symbol
_atom_site_fract_x
_atom_site_fract_y
_atom_site_fract_z
Ba1 Ba 0.000 0.000 0.000
Al1 Al 0.000 0.250 0.500
Si1 Si 0.000 0.500 0.250
```

Largest 12 diffraction maxima, in order of rising 2θ, 2θ from 5° to 70°:
| 2θ/deg | d (Å) | I (rel.) | index |
| --- | --- | --- | --- |
| 17.87 | 4.963 | 28 | 1 1 0 |
| 25.38 | 3.509 | 43 | 2 0 0 |
| 31.21 | 2.865 | 100 | 2 1 1 |
| 36.20 | 2.482 | 5 | 2 2 0 |
| 40.65 | 2.220 | 8 | 3 1 0 |
| 48.53 | 1.876 | 57 | 3 2 1 |
| 52.12 | 1.755 | 14 | 4 0 0 |
| 55.55 | 1.654 | 5 | 4 1 1 |
| 58.84 | 1.569 | 16 | 4 2 0 |
| 62.02 | 1.496 | 14 | 3 3 2 |
| 65.10 | 1.433 | 2 | 4 2 2 |
| 68.12 | 1.377 | 5 | 5 1 0 |

=====

Record 6
Diffraction record for Sr4In2O. The powder diffractogram is theoretical, not measured: it uses a DFT-relaxed cell (GGA-PBE, Alexandria) and CuKα.
No peak broadening, texture or thermal motion is included.

Structural model:
```
data_Sr4In2O
_chemical_formula_sum 'Sr8 In4 O2'
_cell_length_a 5.169
_cell_length_b 5.169
_cell_length_c 17.317
_cell_angle_alpha 90.00
_cell_angle_beta 90.00
_cell_angle_gamma 90.00
_space_group_name_H-M_alt 'I 4/m m m'
_space_group_IT_number 139
_space_group_name_Hall '-I 4 2'
loop_
_atom_site_label
_atom_site_type_symbol
_atom_site_fract_x
_atom_site_fract_y
_atom_site_fract_z
Sr1 Sr 0.000 0.000 0.166
Sr2 Sr 0.000 0.500 0.000
In1 In 0.000 0.000 0.366
O1 O 0.000 0.000 0.000
```

Largest 12 diffraction maxima, in order of rising 2θ, 2θ from 5° to 70°:
| 2θ/deg | d (Å) | I (rel.) | index |
| --- | --- | --- | --- |
| 10.22 | 8.659 | 10 | 0 0 2 |
| 24.35 | 3.655 | 28 | 1 1 0 |
| 26.47 | 3.367 | 54 | 1 1 2 |
| 31.03 | 2.882 | 46 | 0 0 6 |
| 32.05 | 2.793 | 100 | 1 1 4 |
| 34.71 | 2.584 | 65 | 2 0 0 |
| 47.23 | 1.924 | 43 | 2 0 6 |
| 49.91 | 1.827 | 22 | 2 2 0 |
| 57.37 | 1.606 | 13 | 3 1 2 |
| 59.03 | 1.565 | 11 | 1 1 10 |
| 59.92 | 1.544 | 17 | 2 2 6 |
| 60.55 | 1.529 | 32 | 3 1 4 |

=====

Record 7
Diffraction record for Pu2AlFe5B2. The powder diffractogram is theoretical, not measured: it uses a DFT-relaxed cell (GGA-PBE, Alexandria) and CuKα.
No peak broadening, texture or thermal motion is included.

Structural model:
```
data_Pu2AlFe5B2
_chemical_formula_sum 'Pu4 Al2 Fe10 B4'
_cell_length_a 9.037
_cell_length_b 9.037
_cell_length_c 3.037
_cell_angle_alpha 90.00
_cell_angle_beta 90.00
_cell_angle_gamma 90.00
_space_group_name_H-M_alt 'P 4/m b m'
_space_group_IT_number 127
_space_group_name_Hall '-P 4 2ab'
loop_
_atom_site_label
_atom_site_type_symbol
_atom_site_fract_x
_atom_site_fract_y
_atom_site_fract_z
Pu1 Pu 0.178 0.322 0.000
Al1 Al 0.000 0.000 0.000
Fe1 Fe 0.000 0.500 0.500
Fe2 Fe 0.070 0.774 0.500
B1 B 0.118 0.618 0.000
```

Largest 12 diffraction maxima, in order of rising 2θ, 2θ from 5° to 70°:
| 2θ/deg | d (Å) | I (rel.) | index |
| --- | --- | --- | --- |
| 13.86 | 6.390 | 17 | 1 1 0 |
| 19.65 | 4.518 | 42 | 2 0 0 |
| 21.99 | 4.041 | 68 | 2 1 0 |
| 35.62 | 2.520 | 28 | 2 0 1 |
| 37.03 | 2.428 | 100 | 2 1 1 |
| 41.00 | 2.201 | 20 | 2 2 1 |
| 41.19 | 2.192 | 73 | 4 1 0 |
| 42.44 | 2.130 | 29 | 3 3 0 |
| 43.48 | 2.081 | 46 | 3 1 1 |
| 51.41 | 1.777 | 19 | 4 1 1 |
| 67.90 | 1.380 | 16 | 5 3 1 |
| 69.69 | 1.349 | 16 | 6 0 1 |

=====

Record 8
Diffraction record for Tl3Ru. The powder diffractogram is theoretical, not measured: it uses a DFT-relaxed cell (GGA-PBE, Alexandria) and CuKα.
No peak broadening, texture or thermal motion is included.

Structural model:
```
data_Tl3Ru
_chemical_formula_sum 'Tl6 Ru2'
_cell_length_a 3.161
_cell_length_b 4.630
_cell_length_c 14.098
_cell_angle_alpha 90.00
_cell_angle_beta 90.00
_cell_angle_gamma 90.00
_space_group_name_H-M_alt 'I m m m'
_space_group_IT_number 71
_space_group_name_Hall '-I 2 2'
loop_
_atom_site_label
_atom_site_type_symbol
_atom_site_fract_x
_atom_site_fract_y
_atom_site_fract_z
Tl1 Tl 0.000 0.000 0.000
Tl2 Tl 0.000 0.500 0.177
Ru1 Ru 0.000 0.000 0.500
```

Largest 12 diffraction maxima, in order of rising 2θ, 2θ from 5° to 70°:
| 2θ/deg | d (Å) | I (rel.) | index |
| --- | --- | --- | --- |
| 27.04 | 3.298 | 89 | 0 1 3 |
| 28.95 | 3.084 | 23 | 1 0 1 |
| 34.19 | 2.623 | 18 | 1 0 3 |
| 36.71 | 2.448 | 100 | 1 1 2 |
| 38.31 | 2.350 | 34 | 0 0 6 |
| 38.91 | 2.315 | 36 | 0 2 0 |
| 42.99 | 2.104 | 17 | 1 0 5 |
| 43.12 | 2.098 | 37 | 1 1 4 |
| 55.74 | 1.649 | 23 | 0 2 6 |
| 63.72 | 1.461 | 28 | 1 1 8 |
| 65.49 | 1.425 | 16 | 2 1 3 |
| 69.02 | 1.361 | 16 | 1 3 2 |